The following is a calculated powder XRD pattern of CeTcIr. It was derived from a DFT-relaxed cell (PBE, Alexandria), using Cu Kα.
No peak broadening, texture or thermal motion is included.

Top 12 peaks for 15 to 90 degrees two-theta, in order of rising 2θ:
Position (°2θ)	intensity
18.2	24
28.6	33
32.0	85
36.8	52
37.3	97
37.7	100
39.2	79
40.9	80
43.4	32
44.5	23
49.7	46
80.0	23

Structural model:
```
data_CeTcIr
_cell_length_a 5.059
_cell_length_b 5.059
_cell_length_c 5.055
_cell_angle_alpha 102.54
_cell_angle_beta 102.54
_cell_angle_gamma 66.54
_space_group_name_H-M_alt 'P 1'
_space_group_IT_number 1
_space_group_name_Hall 'P 1'
loop_
_atom_site_label
_atom_site_type_symbol
_atom_site_fract_x
_atom_site_fract_y
_atom_site_fract_z
_atom_site_occupancy
Ce1 Ce 0.129 0.129 0.366 1
Ce2 Ce 0.871 0.871 0.634 1
Tc1 Tc 0.488 0.488 0.732 1
Tc2 Tc 0.512 0.512 0.268 1
Ir1 Ir 0.000 0.500 0.000 1
Ir2 Ir 0.500 0.000 0.000 1
```

---

The following is a calculated powder XRD pattern of La3Ga2Ru2. It was derived from a DFT-relaxed cell (PBE, Alexandria), using Cu Kα.
No peak broadening, texture or thermal motion is included.

Top 12 peaks for 15 to 90 degrees two-theta, in order of rising 2θ:
Position (°2θ)	intensity
25.1	26
32.1	41
32.7	52
33.0	50
33.4	27
33.8	61
36.1	81
38.3	100
39.2	44
41.2	26
54.3	29
56.2	29

Structural model:
```
data_La3Ga2Ru2
_cell_length_a 5.796
_cell_length_b 8.275
_cell_length_c 13.801
_cell_angle_alpha 90.00
_cell_angle_beta 90.00
_cell_angle_gamma 90.00
_space_group_name_H-M_alt 'P 1'
_space_group_IT_number 1
_space_group_name_Hall 'P 1'
loop_
_atom_site_label
_atom_site_type_symbol
_atom_site_fract_x
_atom_site_fract_y
_atom_site_fract_z
_atom_site_occupancy
La1 La 0.129 0.226 0.250 1
La2 La 0.129 0.274 0.750 1
La3 La 0.340 0.590 0.093 1
La4 La 0.340 0.590 0.407 1
La5 La 0.340 0.910 0.593 1
La6 La 0.340 0.910 0.907 1
La7 La 0.660 0.090 0.093 1
La8 La 0.660 0.090 0.407 1
La9 La 0.660 0.410 0.593 1
La10 La 0.660 0.410 0.907 1
La11 La 0.871 0.726 0.250 1
La12 La 0.871 0.774 0.750 1
Ga1 Ga 0.120 0.250 0.000 1
Ga2 Ga 0.120 0.250 0.500 1
Ga3 Ga 0.360 0.617 0.750 1
Ga4 Ga 0.360 0.883 0.250 1
Ga5 Ga 0.640 0.117 0.750 1
Ga6 Ga 0.640 0.383 0.250 1
Ga7 Ga 0.880 0.750 0.000 1
Ga8 Ga 0.880 0.750 0.500 1
Ru1 Ru 0.151 0.529 0.590 1
Ru2 Ru 0.151 0.529 0.910 1
Ru3 Ru 0.151 0.971 0.090 1
Ru4 Ru 0.151 0.971 0.410 1
Ru5 Ru 0.849 0.029 0.590 1
Ru6 Ru 0.849 0.029 0.910 1
Ru7 Ru 0.849 0.471 0.090 1
Ru8 Ru 0.849 0.471 0.410 1
```

---

The following is a calculated powder XRD pattern of Ac2Nd2Ho5. It was derived from a DFT-relaxed cell (PBE, Alexandria), using Cu Kα.
No peak broadening, texture or thermal motion is included.

Top 12 peaks for 15 to 90 degrees two-theta, in order of rising 2θ:
Position (°2θ)	intensity
25.2	44
26.9	47
28.9	83
29.0	61
30.2	28
32.3	62
32.8	29
33.0	35
34.0	48
34.9	100
41.8	43
52.6	28

Structural model:
```
data_Ac2Nd2Ho5
_cell_length_a 11.192
_cell_length_b 11.192
_cell_length_c 8.358
_cell_angle_alpha 98.54
_cell_angle_beta 98.54
_cell_angle_gamma 18.63
_space_group_name_H-M_alt 'P 1'
_space_group_IT_number 1
_space_group_name_Hall 'P 1'
loop_
_atom_site_label
_atom_site_type_symbol
_atom_site_fract_x
_atom_site_fract_y
_atom_site_fract_z
_atom_site_occupancy
Ac1 Ac 0.182 0.182 0.135 1
Ac2 Ac 0.818 0.818 0.865 1
Nd1 Nd 0.453 0.453 0.650 1
Nd2 Nd 0.547 0.547 0.350 1
Ho1 Ho 0.000 0.000 0.000 1
Ho2 Ho 0.094 0.094 0.722 1
Ho3 Ho 0.310 0.310 0.471 1
Ho4 Ho 0.690 0.690 0.529 1
Ho5 Ho 0.906 0.906 0.278 1
```